The following is a calculated powder diffractogram of GeAs2. It was derived from DFT lattice parameters and positions (GGA-PBE), using Cu Kα (λ = 1.5418 Å).
Neutral-atom scattering factors, no anomalous dispersion.

Principal peaks in the range 2θ = 10–90°, low angle first:
(hkl)  2θ (°)  I/Imax
1 4 0  24.68  30
2 4 0  28.68  28
2 1 1  29.53  100
2 2 1  31.25  33
3 4 0  34.38  21
4 2 1  43.15  19
0 0 2  48.13  24
5 2 1  50.53  31

Cell and atoms:
Cell lengths 10.670, 15.332, 3.781 Å; angles 90.00, 90.00, 90.00 degrees
Space group Pbam (No. 55)
One atom of each set of equivalent atoms:
Ge (0.071, 0.149, 0.000) x4
Ge (0.216, 0.773, 0.500) x4
As (0.064, 0.897, 0.500) x4
As (0.122, 0.621, 0.500) x4
As (0.139, 0.303, 0.000) x4
As (0.243, 0.551, 0.000) x4